Starting from a structure optimized by DFT (PBE), the X-ray diffraction stick pattern of KPH4O4 was computed for a wavelength of 1.5418 Å.

The 6 most intense peaks (10° ≤ 2θ ≤ 80°), in order of falling intensity:
2θ = 20.79°, intensity 100
2θ = 28.58°, intensity 90
2θ = 41.59°, intensity 71
2θ = 32.26°, intensity 30
2θ = 59.16°, intensity 19
2θ = 47.58°, intensity 18

Structural model:
```
KPH4O4
1.0
-4.273 4.273 3.648
4.273 -4.273 3.648
4.273 4.273 -3.648
K P H O
2 2 8 8
Direct
0.000 0.000 0.000
0.750 0.250 0.500
0.250 0.750 0.500
0.500 0.500 0.000
0.135 0.462 0.988
0.212 0.385 0.488
0.277 0.788 0.173
0.473 0.146 0.012
0.538 0.527 0.673
0.615 0.104 0.827
0.854 0.865 0.327
0.896 0.723 0.512
0.058 0.803 0.630
0.172 0.428 0.370
0.178 0.422 0.870
0.197 0.828 0.256
0.553 0.308 0.130
0.572 0.942 0.744
0.578 0.447 0.756
0.692 0.822 0.244
```

---

Starting from a structure optimized by DFT (PBE), the X-ray diffraction stick pattern of KPH2SO3 was computed for a wavelength of 1.5418 Å.

The 6 most intense peaks (10° ≤ 2θ ≤ 80°), in order of falling intensity:
2θ = 28.11°, intensity 100
2θ = 22.18°, intensity 78
2θ = 28.48°, intensity 46
2θ = 19.90°, intensity 29
2θ = 47.18°, intensity 28
2θ = 32.24°, intensity 24

Structural model:
```
KPH2SO3
1.0
6.645 0.000 0.000
0.000 6.351 0.000
-2.016 0.000 5.721
K P H S O
2 2 4 2 6
Direct
0.000 0.000 0.000
0.500 0.500 0.000
0.004 0.500 0.496
0.504 0.000 0.496
0.180 0.189 0.575
0.180 0.811 0.575
0.680 0.311 0.575
0.680 0.689 0.575
0.039 0.500 0.184
0.539 0.000 0.184
0.117 0.305 0.654
0.117 0.695 0.654
0.269 0.000 0.488
0.617 0.195 0.654
0.617 0.805 0.654
0.769 0.500 0.488
```

---

Starting from a structure optimized by DFT (PBE), the X-ray diffraction stick pattern of K4PH5Se3O16 was computed for a wavelength of 1.5418 Å.

The 6 most intense peaks (10° ≤ 2θ ≤ 80°), in order of falling intensity:
2θ = 24.03°, intensity 100
2θ = 23.87°, intensity 78
2θ = 17.34°, intensity 66
2θ = 27.81°, intensity 60
2θ = 26.65°, intensity 56
2θ = 26.09°, intensity 52

Structural model:
```
K4PH5Se3O16
1.0
7.610 0.000 0.000
0.644 7.844 0.000
0.405 2.601 7.455
K P H Se O
4 1 5 3 16
Direct
0.000 0.000 0.000
0.057 0.487 0.435
0.370 0.555 0.880
0.689 0.945 0.546
0.568 0.469 0.408
0.284 0.168 0.243
0.405 0.679 0.186
0.526 0.277 0.686
0.663 0.751 0.297
0.772 0.322 0.191
0.157 0.964 0.496
0.499 0.016 0.018
0.902 0.524 0.937
0.015 0.611 0.059
0.031 0.018 0.649
0.031 0.469 0.785
0.043 0.876 0.375
0.219 0.179 0.357
0.342 0.842 0.570
0.368 0.184 0.053
0.372 0.846 0.033
0.409 0.548 0.279
0.479 0.402 0.601
0.596 0.094 0.815
0.657 0.940 0.172
0.679 0.318 0.370
0.683 0.629 0.401
0.719 0.647 0.859
0.840 0.310 0.078
```

---

Starting from a structure optimized by DFT (PBE), the X-ray diffraction stick pattern of K4PH5Se3O16 was computed for a wavelength of 1.5418 Å.

The 6 most intense peaks (10° ≤ 2θ ≤ 80°), in order of falling intensity:
2θ = 24.04°, intensity 100
2θ = 23.86°, intensity 78
2θ = 17.34°, intensity 63
2θ = 27.83°, intensity 60
2θ = 26.64°, intensity 55
2θ = 26.07°, intensity 48

Structural model:
```
K4PH5Se3O16
1.0
7.865 0.000 0.000
2.617 7.461 0.000
1.244 0.400 15.177
K P H Se O
8 2 10 6 32
Direct
0.188 0.337 0.330
0.200 0.330 0.830
0.254 0.784 0.489
0.259 0.781 0.983
0.741 0.219 0.017
0.746 0.216 0.511
0.800 0.670 0.170
0.812 0.663 0.670
0.276 0.807 0.231
0.724 0.193 0.769
0.006 0.081 0.817
0.066 0.028 0.313
0.421 0.024 0.130
0.425 0.029 0.626
0.467 0.528 0.251
0.533 0.472 0.749
0.575 0.971 0.374
0.579 0.976 0.870
0.934 0.972 0.687
0.994 0.919 0.183
0.220 0.280 0.563
0.221 0.279 0.064
0.272 0.803 0.735
0.728 0.197 0.265
0.779 0.721 0.936
0.780 0.720 0.437
0.099 0.352 0.656
0.099 0.358 0.156
0.101 0.817 0.672
0.116 0.815 0.173
0.130 0.159 0.009
0.134 0.158 0.506
0.196 0.933 0.312
0.196 0.957 0.813
0.272 0.435 0.500
0.278 0.429 0.000
0.342 0.613 0.275
0.350 0.601 0.784
0.427 0.846 0.177
0.434 0.137 0.096
0.436 0.142 0.593
0.439 0.838 0.669
0.561 0.162 0.331
0.564 0.858 0.407
0.566 0.863 0.904
0.573 0.154 0.823
0.650 0.399 0.216
0.658 0.387 0.725
0.722 0.571 0.000
0.728 0.565 0.500
0.804 0.043 0.187
0.804 0.067 0.688
0.866 0.842 0.494
0.870 0.841 0.991
0.884 0.185 0.827
0.899 0.183 0.328
0.901 0.642 0.844
0.901 0.648 0.344
```